For Rb2AgPdF6, a GGA-PBE-relaxed structure gives the theoretical XRD peak list in this record (CuKα).
Neutral-atom scattering factors, no anomalous dispersion.

Crystal structure
a b c (Å): 8.844 8.844 8.844
angles (deg): 90.00 90.00 90.00
Space group Fm-3m (No. 225)
Asymmetric unit:
Rb  0.250  0.250  0.250 [8 per cell]
Ag  0.000  0.000  0.000 [4 per cell]
Pd  0.000  0.000  0.500 [4 per cell]
F  0.000  0.000  0.263 [24 per cell]

The 10 most intense peaks (2θ = 10–80°), sorted by position:
| d_spacing | Position (°2θ) | I (rel.) | index |
| --- | --- | --- | --- |
| 4.422 | 20.08 | 8 | 2 0 0 |
| 3.127 | 28.55 | 100 | 2 2 0 |
| 2.553 | 35.15 | 1 | 2 2 2 |
| 2.211 | 40.81 | 38 | 4 0 0 |
| 1.978 | 45.89 | 3 | 4 2 0 |
| 1.805 | 50.56 | 40 | 4 2 2 |
| 1.563 | 59.09 | 23 | 4 4 0 |
| 1.474 | 63.07 | 1 | 6 0 0 |
| 1.398 | 66.92 | 18 | 6 2 0 |
| 1.276 | 74.31 | 7 | 4 4 4 |